No. 1
The following is a computed powder diffraction line list of PmMgCd2. It was derived from a PBE-relaxed structure, using copper Kα.
Neutral-atom scattering factors, no anomalous dispersion.

Most intense lines, 2θ = 10–90°, sorted by position:
- 21.0°, rel. 21.1
- 34.6°, rel. 100.0
- 40.8°, rel. 11.5
- 49.8°, rel. 17.5
- 54.6°, rel. 5.0
- 62.1°, rel. 35.3
- 66.3°, rel. 3.7
- 73.1°, rel. 10.8
- 77.0°, rel. 3.7
- 83.4°, rel. 15.2

```
PmMgCd2
1.0
0.000 3.663 3.663
3.663 0.000 3.663
3.663 3.663 0.000
Pm Mg Cd
1 1 2
Direct
0.000 0.000 0.000 Pm
0.500 0.500 0.500 Mg
0.250 0.250 0.250 Cd
0.750 0.750 0.750 Cd
```

=====

No. 2
The following is a computed powder diffraction line list of PrMgCd2. It was derived from a PBE-relaxed structure, using copper Kα.
Neutral-atom scattering factors, no anomalous dispersion.

Most intense lines, 2θ = 10–90°, sorted by position:
- 20.8°, rel. 19.8
- 34.3°, rel. 100.0
- 40.5°, rel. 10.8
- 49.3°, rel. 17.5
- 54.1°, rel. 4.7
- 61.4°, rel. 35.4
- 65.6°, rel. 3.5
- 72.3°, rel. 10.8
- 76.2°, rel. 3.4
- 82.5°, rel. 15.2

```
PrMgCd2
1.0
0.000 3.696 3.696
3.696 0.000 3.696
3.696 3.696 0.000
Pr Mg Cd
1 1 2
Direct
0.000 0.000 0.000 Pr
0.500 0.500 0.500 Mg
0.250 0.250 0.250 Cd
0.750 0.750 0.750 Cd
```

=====

No. 3
The following is a computed powder diffraction line list of RbMg6Cd. It was derived from a PBE-relaxed structure, using copper Kα.
Neutral-atom scattering factors, no anomalous dispersion.

Most intense lines, 2θ = 10–90°, sorted by position:
- 14.8°, rel. 38.9
- 16.3°, rel. 34.4
- 22.1°, rel. 38.8
- 30.2°, rel. 33.8
- 33.0°, rel. 35.7
- 34.3°, rel. 49.5
- 34.6°, rel. 100.0
- 45.4°, rel. 21.4
- 59.9°, rel. 19.2
- 64.2°, rel. 18.8

```
RbMg6Cd
1.0
5.428 0.000 0.000
0.000 3.403 5.967
0.000 -3.403 5.967
Rb Mg Cd
1 6 1
Direct
0.000 0.000 0.000 Rb
0.000 0.007 0.495 Mg
0.000 0.495 0.007 Mg
0.500 0.179 0.179 Mg
0.500 0.179 0.643 Mg
0.500 0.643 0.179 Mg
0.500 0.667 0.667 Mg
0.000 0.496 0.496 Cd
```

=====

No. 4
The following is a computed powder diffraction line list of RbMg14Cd. It was derived from a PBE-relaxed structure, using copper Kα.
Neutral-atom scattering factors, no anomalous dispersion.

Most intense lines, 2θ = 10–90°, sorted by position:
- 17.6°, rel. 18.8
- 31.4°, rel. 28.5
- 32.5°, rel. 13.2
- 33.6°, rel. 25.0
- 35.7°, rel. 100.0
- 46.6°, rel. 18.2
- 55.8°, rel. 17.0
- 61.4°, rel. 18.0
- 66.7°, rel. 18.6
- 68.0°, rel. 13.8

```
RbMg14Cd
1.0
10.670 0.000 0.000
0.000 3.295 5.706
0.000 -3.295 5.706
Rb Mg Cd
1 14 1
Direct
0.000 0.000 0.000 Rb
0.000 0.009 0.495 Mg
0.000 0.495 0.009 Mg
0.245 0.666 0.666 Mg
0.265 0.173 0.654 Mg
0.265 0.654 0.173 Mg
0.266 0.173 0.173 Mg
0.500 0.000 0.000 Mg
0.500 0.501 0.501 Mg
0.500 0.501 0.999 Mg
0.500 0.999 0.501 Mg
0.734 0.173 0.173 Mg
0.735 0.173 0.654 Mg
0.735 0.654 0.173 Mg
0.755 0.666 0.666 Mg
0.000 0.495 0.495 Cd
```

=====

No. 5
The following is a computed powder diffraction line list of RbMg6Cd. It was derived from a PBE-relaxed structure, using copper Kα.
Neutral-atom scattering factors, no anomalous dispersion.

Most intense lines, 2θ = 10–90°, sorted by position:
- 14.9°, rel. 61.0
- 22.2°, rel. 24.9
- 22.3°, rel. 31.5
- 30.0°, rel. 20.1
- 30.9°, rel. 29.2
- 33.1°, rel. 36.0
- 34.3°, rel. 100.0
- 34.6°, rel. 41.2
- 53.0°, rel. 18.0
- 59.9°, rel. 18.9

```
RbMg6Cd
1.0
5.412 0.000 0.000
0.000 3.455 5.898
0.000 -3.455 5.898
Rb Mg Cd
1 6 1
Direct
0.000 0.000 0.000 Rb
0.000 0.005 0.496 Mg
0.000 0.494 0.494 Mg
0.000 0.496 0.005 Mg
0.500 0.180 0.634 Mg
0.500 0.634 0.180 Mg
0.500 0.665 0.665 Mg
0.500 0.181 0.181 Cd
```

=====

No. 6
The following is a computed powder diffraction line list of RbMg14Cd. It was derived from a PBE-relaxed structure, using copper Kα.
Neutral-atom scattering factors, no anomalous dispersion.

Most intense lines, 2θ = 10–90°, sorted by position:
- 15.5°, rel. 31.8
- 22.8°, rel. 33.3
- 31.3°, rel. 28.7
- 33.6°, rel. 24.3
- 35.6°, rel. 100.0
- 46.6°, rel. 18.3
- 55.7°, rel. 17.2
- 61.4°, rel. 17.1
- 66.6°, rel. 18.2
- 67.9°, rel. 13.8

```
RbMg14Cd
1.0
6.603 0.000 0.000
-3.301 5.718 0.000
0.000 0.000 10.673
Rb Mg Cd
1 14 1
Direct
0.000 0.000 0.000 Rb
0.009 0.504 0.000 Mg
0.174 0.348 0.270 Mg
0.174 0.348 0.730 Mg
0.174 0.826 0.270 Mg
0.174 0.826 0.730 Mg
0.496 0.504 0.000 Mg
0.496 0.991 0.000 Mg
0.502 0.005 0.500 Mg
0.502 0.498 0.500 Mg
0.652 0.826 0.270 Mg
0.652 0.826 0.730 Mg
0.667 0.333 0.245 Mg
0.667 0.333 0.755 Mg
0.995 0.498 0.500 Mg
0.000 0.000 0.500 Cd
```

=====

No. 7
The following is a computed powder diffraction line list of MgCdS2. It was derived from a PBE-relaxed structure, using copper Kα.
Neutral-atom scattering factors, no anomalous dispersion.

Most intense lines, 2θ = 10–90°, sorted by position:
- 16.5°, rel. 33.8
- 23.4°, rel. 30.2
- 28.7°, rel. 24.3
- 33.3°, rel. 100.0
- 37.3°, rel. 17.9
- 41.1°, rel. 13.7
- 47.8°, rel. 68.0
- 59.5°, rel. 22.6
- 79.6°, rel. 28.7
- 89.1°, rel. 22.4

```
MgCdS2
1.0
3.808 0.000 0.000
0.000 3.808 0.000
0.000 0.000 5.386
Mg Cd S
1 1 2
Direct
0.000 0.000 0.000 Mg
0.500 0.500 0.500 Cd
0.000 0.000 0.500 S
0.500 0.500 0.000 S
```

=====

No. 8
The following is a computed powder diffraction line list of Mg14CdSb. It was derived from a PBE-relaxed structure, using copper Kα.
Neutral-atom scattering factors, no anomalous dispersion.

Most intense lines, 2θ = 10–90°, sorted by position:
- 16.2°, rel. 22.9
- 17.1°, rel. 20.3
- 18.3°, rel. 35.0
- 23.6°, rel. 19.3
- 32.1°, rel. 29.9
- 32.6°, rel. 22.7
- 34.6°, rel. 37.9
- 36.6°, rel. 100.0
- 37.1°, rel. 48.4
- 47.9°, rel. 18.9

```
Mg14CdSb
1.0
10.366 0.000 0.000
0.000 3.233 5.486
0.000 -3.233 5.486
Mg Cd Sb
14 1 1
Direct
0.000 0.000 0.000 Mg
0.000 0.001 0.500 Mg
0.000 0.500 0.001 Mg
0.000 0.500 0.500 Mg
0.248 0.168 0.168 Mg
0.250 0.168 0.665 Mg
0.250 0.665 0.168 Mg
0.250 0.667 0.667 Mg
0.500 0.500 0.999 Mg
0.500 0.999 0.500 Mg
0.750 0.168 0.665 Mg
0.750 0.665 0.168 Mg
0.750 0.667 0.667 Mg
0.752 0.168 0.168 Mg
0.500 0.501 0.501 Cd
0.500 0.000 0.000 Sb
```

=====

Please write out number 7 again, unchanged.
The following is a computed powder diffraction line list of MgCdS2. It was derived from a PBE-relaxed structure, using copper Kα.
Neutral-atom scattering factors, no anomalous dispersion.

Most intense lines, 2θ = 10–90°, sorted by position:
- 16.5°, rel. 33.8
- 23.4°, rel. 30.2
- 28.7°, rel. 24.3
- 33.3°, rel. 100.0
- 37.3°, rel. 17.9
- 41.1°, rel. 13.7
- 47.8°, rel. 68.0
- 59.5°, rel. 22.6
- 79.6°, rel. 28.7
- 89.1°, rel. 22.4

```
MgCdS2
1.0
3.808 0.000 0.000
0.000 3.808 0.000
0.000 0.000 5.386
Mg Cd S
1 1 2
Direct
0.000 0.000 0.000 Mg
0.500 0.500 0.500 Cd
0.000 0.000 0.500 S
0.500 0.500 0.000 S
```